# 1
CeReS6: calculated XRD peak list (Cu Kα), based on a structure optimized by DFT (GGA-PBE).
Kinematic intensities with the Lorentz-polarization factor, no thermal factor.

Principal peaks in the range 2θ from 10° to 90°, low angle first:
5.032 Å, 17.6 deg, I 100; 4.704 Å, 18.9 deg, I 68; 3.437 Å, 25.9 deg, I 32; 2.795 Å, 32.0 deg, I 77; 2.444 Å, 36.8 deg, I 48; 2.219 Å, 40.7 deg, I 39

Structural model:
Cell lengths 5.8482, 5.8498, 6.1056 Å; angles 109.70, 109.63, 107.08 degrees
Fractional positions:
Ce1 0.0000 0.0000 0.0000
Re1 0.5000 0.5000 0.0000
S1 0.1754 0.1741 0.5527
S2 0.1906 0.5661 0.1648
S3 0.4336 0.8091 0.8351
S4 0.5664 0.1909 0.1649
S5 0.8094 0.4339 0.8352
S6 0.8246 0.8259 0.4473



# 2
Ce2ReSe6: calculated XRD peak list (Cu Kα), based on a structure optimized by DFT (GGA-PBE).
Kinematic intensities with the Lorentz-polarization factor, no thermal factor.

Principal peaks in the range 2θ from 10° to 90°, low angle first:
5.780 Å, 15.3 deg, I 80; 5.189 Å, 17.1 deg, I 66; 2.772 Å, 32.3 deg, I 100; 2.561 Å, 35.0 deg, I 73; 2.450 Å, 36.7 deg, I 52; 2.327 Å, 38.7 deg, I 98

Structural model:
Cell lengths 6.3233, 7.5088, 11.0287 Å; angles 90.00, 124.81, 90.00 degrees
Fractional positions:
Ce1 0.1992 0.1247 0.2505
Ce2 0.1992 0.3753 0.7505
Ce3 0.8008 0.6247 0.2495
Ce4 0.8008 0.8753 0.7495
Re1 0.0000 0.0000 0.5000
Re2 0.0000 0.5000 0.0000
Se1 0.0974 0.1939 0.9468
Se2 0.0974 0.3061 0.4468
Se3 0.2850 0.6731 0.9435
Se4 0.2850 0.8269 0.4435
Se5 0.3852 0.0208 0.7655
Se6 0.3852 0.4792 0.2655
Se7 0.6148 0.5208 0.7345
Se8 0.6148 0.9792 0.2345
Se9 0.7150 0.1731 0.5565
Se10 0.7150 0.3269 0.0565
Se11 0.9026 0.6939 0.5532
Se12 0.9026 0.8061 0.0532